(1)
AlZn2Au4: computed PXRD pattern (λ = 1.5418 Å (Cu Kα)), based on a crystal structure in Alexandria, relaxed with GGA-PBE.
No peak broadening, texture or thermal motion is included.

Largest 10 diffraction maxima, in order of falling intensity, 2θ = 10–80°:
d [Å]  intensity
2.251  100
2.309  58
2.286  55
2.222  39
2.264  38
2.434  37
3.222  30
2.950  24
2.324  23
3.598  22

Cell and atoms:
Cell: 5.447 7.076 7.265 Å, 62.46 82.59 74.88°
Fractional positions:
Al 0.000 0.000 0.000
Al 0.243 0.505 0.633
Zn 0.283 0.187 0.484
Zn 0.590 0.831 0.438
Zn 0.770 0.219 0.516
Zn 0.790 0.722 0.887
Au 0.073 0.927 0.392
Au 0.130 0.344 0.042
Au 0.281 0.774 0.796
Au 0.446 0.655 0.213
Au 0.484 0.088 0.863
Au 0.623 0.231 0.176
Au 0.752 0.435 0.745
Au 0.959 0.580 0.306

(2)
Pr12MgAl6: computed PXRD pattern (λ = 1.5418 Å (Cu Kα)), based on a crystal structure in Alexandria, relaxed with GGA-PBE.
No peak broadening, texture or thermal motion is included.

Largest 10 diffraction maxima, in order of falling intensity, 2θ = 10–80°:
d [Å]  intensity
2.821  100
2.444  49
1.728  26
4.261  22
1.474  18
2.849  12
3.210  12
3.328  11
4.352  10
1.472  10

Cell and atoms:
Cell: 9.148 9.148 9.148 Å, 110.96 110.96 110.96°
Fractional positions:
Pr 0.094 0.179 0.733
Pr 0.179 0.733 0.094
Pr 0.191 0.350 0.484
Pr 0.267 0.906 0.821
Pr 0.350 0.484 0.191
Pr 0.484 0.191 0.350
Pr 0.516 0.809 0.650
Pr 0.650 0.516 0.809
Pr 0.733 0.094 0.179
Pr 0.809 0.650 0.516
Pr 0.821 0.267 0.906
Pr 0.906 0.821 0.267
Mg 0.000 0.000 0.000
Al 0.067 0.585 0.350
Al 0.350 0.067 0.585
Al 0.415 0.650 0.933
Al 0.585 0.350 0.067
Al 0.650 0.933 0.415
Al 0.933 0.415 0.650

(3)
Cs3Hg7Bi4: computed PXRD pattern (λ = 1.5418 Å (Cu Kα)), based on a crystal structure in Alexandria, relaxed with GGA-PBE.
No peak broadening, texture or thermal motion is included.

Largest 10 diffraction maxima, in order of falling intensity, 2θ = 10–80°:
d [Å]  intensity
2.680  100
3.240  87
3.314  63
6.206  57
3.275  55
3.378  49
2.640  47
2.446  45
1.842  43
2.606  43

Cell and atoms:
Cell: 10.557 10.557 12.420 Å, 124.01 124.01 29.41°
Fractional positions:
Cs 0.000 0.000 0.000
Cs 0.322 0.322 0.319
Cs 0.678 0.678 0.681
Hg 0.000 0.000 0.500
Hg 0.180 0.180 0.949
Hg 0.301 0.301 0.635
Hg 0.499 0.499 0.249
Hg 0.501 0.501 0.751
Hg 0.699 0.699 0.365
Hg 0.820 0.820 0.051
Bi 0.082 0.082 0.379
Bi 0.344 0.344 0.969
Bi 0.656 0.656 0.031
Bi 0.918 0.918 0.621

(4)
DyBPd: computed PXRD pattern (λ = 1.5418 Å (Cu Kα)), based on a crystal structure in Alexandria, relaxed with GGA-PBE.
No peak broadening, texture or thermal motion is included.

Largest 10 diffraction maxima, in order of falling intensity, 2θ = 10–80°:
d [Å]  intensity
2.420  100
2.348  55
2.750  41
1.761  26
3.624  26
2.002  20
1.362  19
1.322  18
1.619  17
3.860  16

Cell and atoms:
Cell: 7.701 7.701 4.005 Å, 105.00 105.00 25.09°
Fractional positions:
Dy 0.140 0.140 0.390
Dy 0.860 0.860 0.610
B 0.274 0.274 0.023
B 0.726 0.726 0.977
Pd 0.438 0.438 0.188
Pd 0.562 0.562 0.812

(5)
Na16Tl12Pt: computed PXRD pattern (λ = 1.5418 Å (Cu Kα)), based on a crystal structure in Alexandria, relaxed with GGA-PBE.
No peak broadening, texture or thermal motion is included.

Largest 10 diffraction maxima, in order of falling intensity, 2θ = 10–80°:
d [Å]  intensity
4.836  100
4.985  75
2.530  47
2.508  41
2.612  38
2.769  31
2.343  31
4.784  28
2.797  27
2.815  25

Cell and atoms:
Cell: 10.210 10.210 10.247 Å, 108.93 108.93 108.13°
Fractional positions:
Na 0.000 0.000 0.000
Na 0.021 0.248 0.735
Na 0.141 0.862 0.265
Na 0.230 0.574 0.697
Na 0.248 0.021 0.735
Na 0.269 0.586 0.118
Na 0.292 0.897 0.995
Na 0.569 0.988 0.375
Na 0.573 0.573 0.347
Na 0.574 0.230 0.697
Na 0.586 0.269 0.118
Na 0.602 0.602 0.723
Na 0.862 0.141 0.265
Na 0.881 0.881 0.408
Na 0.897 0.292 0.995
Na 0.988 0.569 0.375
Tl 0.202 0.399 0.318
Tl 0.208 0.208 0.513
Tl 0.363 0.788 0.509
Tl 0.396 0.396 0.901
Tl 0.399 0.202 0.318
Tl 0.574 0.771 0.072
Tl 0.576 0.963 0.881
Tl 0.739 0.937 0.663
Tl 0.771 0.574 0.072
Tl 0.788 0.363 0.509
Tl 0.937 0.739 0.663
Tl 0.963 0.576 0.881
Pt 0.285 0.285 0.081

(6)
La3Nd2Sm8: computed PXRD pattern (λ = 1.5418 Å (Cu Kα)), based on a crystal structure in Alexandria, relaxed with GGA-PBE.
No peak broadening, texture or thermal motion is included.

Largest 10 diffraction maxima, in order of falling intensity, 2θ = 10–80°:
d [Å]  intensity
2.742  100
2.882  44
2.971  37
3.096  35
3.648  22
1.636  21
2.261  12
2.600  11
1.414  11
1.836  10

Cell and atoms:
Cell: 11.106 11.106 5.764 Å, 90.09 90.09 41.06°
Fractional positions:
La 0.000 0.000 0.000
La 0.296 0.704 0.500
La 0.704 0.296 0.500
Nd 0.242 0.242 0.997
Nd 0.758 0.758 0.003
Sm 0.135 0.135 0.499
Sm 0.184 0.601 0.999
Sm 0.329 0.329 0.497
Sm 0.399 0.816 0.001
Sm 0.601 0.184 0.999
Sm 0.671 0.671 0.503
Sm 0.816 0.399 0.001
Sm 0.865 0.865 0.501

(7)
NaNbO2F2: computed PXRD pattern (λ = 1.5418 Å (Cu Kα)), based on a crystal structure in Alexandria, relaxed with GGA-PBE.
No peak broadening, texture or thermal motion is included.

Largest 10 diffraction maxima, in order of falling intensity, 2θ = 10–80°:
d [Å]  intensity
3.239  100
4.531  96
3.116  55
8.020  49
3.748  48
2.746  33
3.785  32
1.848  28
1.915  21
1.649  18

Cell and atoms:
Cell: 8.212 5.492 7.750 Å, 90.00 102.41 90.00°
Fractional positions:
Na 0.134 0.220 0.380
Na 0.134 0.280 0.880
Na 0.866 0.720 0.120
Na 0.866 0.780 0.620
Nb 0.344 0.735 0.181
Nb 0.344 0.765 0.681
Nb 0.656 0.235 0.319
Nb 0.656 0.265 0.819
O 0.320 0.656 0.946
O 0.320 0.844 0.446
O 0.465 0.054 0.788
O 0.465 0.446 0.288
O 0.535 0.554 0.712
O 0.535 0.946 0.212
O 0.680 0.156 0.554
O 0.680 0.344 0.054
F 0.126 0.548 0.188
F 0.126 0.952 0.688
F 0.184 0.024 0.123
F 0.184 0.476 0.623
F 0.816 0.524 0.377
F 0.816 0.976 0.877
F 0.874 0.048 0.312
F 0.874 0.452 0.812

(8)
Li5Ga8Pt: computed PXRD pattern (λ = 1.5418 Å (Cu Kα)), based on a crystal structure in Alexandria, relaxed with GGA-PBE.
No peak broadening, texture or thermal motion is included.

Largest 10 diffraction maxima, in order of falling intensity, 2θ = 10–80°:
d [Å]  intensity
3.109  100
2.047  79
2.496  71
5.343  58
5.472  57
2.026  52
2.401  41
2.389  37
2.083  35
1.554  31

Cell and atoms:
Cell: 6.655 6.655 6.655 Å, 110.82 110.82 106.81°
Fractional positions:
Li 0.000 0.000 0.000
Li 0.298 0.212 0.685
Li 0.387 0.702 0.914
Li 0.527 0.613 0.315
Li 0.788 0.473 0.086
Ga 0.003 0.730 0.600
Ga 0.083 0.373 0.943
Ga 0.130 0.403 0.400
Ga 0.270 0.870 0.272
Ga 0.430 0.140 0.057
Ga 0.597 0.997 0.728
Ga 0.627 0.570 0.710
Ga 0.860 0.917 0.290
Pt 0.750 0.250 0.500

(9)
Ba3Ti3O8: computed PXRD pattern (λ = 1.5418 Å (Cu Kα)), based on a crystal structure in Alexandria, relaxed with GGA-PBE.
No peak broadening, texture or thermal motion is included.

Largest 10 diffraction maxima, in order of falling intensity, 2θ = 10–80°:
d [Å]  intensity
2.891  100
2.842  43
2.010  30
1.651  28
2.348  25
4.020  21
2.081  16
1.680  12
1.648  9
1.447  9

Cell and atoms:
Cell: 5.793 5.793 7.033 Å, 91.58 91.58 58.78°
Fractional positions:
Ba 0.000 0.000 0.000
Ba 0.336 0.336 0.669
Ba 0.664 0.664 0.331
Ti 0.000 0.000 0.500
Ti 0.317 0.317 0.185
Ti 0.683 0.683 0.815
O 0.000 0.500 0.000
O 0.166 0.166 0.339
O 0.172 0.664 0.327
O 0.336 0.828 0.673
O 0.500 0.000 0.000
O 0.664 0.172 0.327
O 0.828 0.336 0.673
O 0.834 0.834 0.661